Entry 1:
The following is a calculated powder X-ray diffraction pattern of Sm2ZnTe2S2O14. It was derived from a DFT-relaxed cell (GGA-PBE, the Materials Project), using copper Kα.
No peak broadening, texture or thermal motion is included.

Largest 10 diffraction maxima, by angle, 2θ = 10–80°:
index	2theta	d_spacing	I_rel
0 1 1	13.12	6.750	67
1 0 -1	24.10	3.693	51
1 1 2	24.22	3.675	80
0 2 0	24.74	3.599	100
1 0 2	26.05	3.421	44
-1 2 1	29.58	3.020	65
1 1 -1	30.05	2.974	39
1 -1 2	32.97	2.716	38
0 2 3	34.99	2.564	39
1 3 2	36.72	2.447	36

Structure:
Unit cell a=5.372 b=8.025 c=8.273 alpha=63.98 beta=73.23 gamma=85.82
Sites, in units of the cell vectors:
Sm  0.088  0.252  0.014
Sm  0.912  0.748  0.986
Zn  0.000  0.000  0.500
Te  0.481  0.733  0.658
Te  0.519  0.267  0.342
S  0.230  0.753  0.253
S  0.770  0.247  0.747
O  0.097  0.594  0.258
O  0.125  0.772  0.430
O  0.178  0.921  0.090
O  0.249  0.926  0.663
O  0.251  0.566  0.891
O  0.280  0.192  0.253
O  0.486  0.272  0.779
O  0.514  0.728  0.221
O  0.720  0.808  0.747
O  0.749  0.434  0.109
O  0.751  0.074  0.337
O  0.822  0.079  0.910
O  0.875  0.228  0.570
O  0.903  0.406  0.742



Entry 2:
The following is a calculated powder X-ray diffraction pattern of Tm2FeGe4. It was derived from a DFT-relaxed cell (GGA-PBE, the Materials Project), using copper Kα.
No peak broadening, texture or thermal motion is included.

Largest 10 diffraction maxima, by angle, 2θ = 10–80°:
index	2theta	d_spacing	I_rel
1 0 2	24.45	3.641	14
1 1 1	31.02	2.883	12
0 0 6	35.02	2.562	15
1 1 3	35.24	2.547	100
0 1 5	36.31	2.474	20
1 0 6	41.46	2.178	16
0 2 0	43.44	2.083	21
2 0 0	43.79	2.067	21
2 2 0	63.39	1.467	14
1 3 3	74.40	1.275	11

Structure:
Unit cell a=4.134 b=4.166 c=15.373 alpha=90.00 beta=90.00 gamma=90.00
Sites, in units of the cell vectors:
Tm  0.000  0.000  0.000
Tm  0.000  0.500  0.500
Tm  0.500  0.000  0.205
Tm  0.500  0.500  0.705
Fe  0.000  0.000  0.797
Fe  0.000  0.500  0.297
Ge  0.000  0.000  0.363
Ge  0.000  0.000  0.648
Ge  0.000  0.500  0.148
Ge  0.000  0.500  0.863
Ge  0.500  0.000  0.536
Ge  0.500  0.000  0.862
Ge  0.500  0.500  0.036
Ge  0.500  0.500  0.362



Entry 3:
The following is a calculated powder X-ray diffraction pattern of Fe2Si. It was derived from a DFT-relaxed cell (GGA-PBE, the Materials Project), using copper Kα.
No peak broadening, texture or thermal motion is included.

Largest 9 diffraction maxima, by angle, 2θ = 10–80°:
index	2theta	d_spacing	I_rel
0 0 2	19.94	4.453	5
1 0 1	34.78	2.579	12
0 0 4	40.52	2.226	4
1 0 3	45.46	1.995	100
1 1 0	47.73	1.906	43
1 1 2	52.21	1.752	1
0 0 6	62.59	1.484	9
1 1 4	64.35	1.448	3
2 0 0	69.80	1.347	13

Structure:
Unit cell a=2.695 b=2.695 c=8.905 alpha=90.00 beta=90.00 gamma=90.00
Sites, in units of the cell vectors:
Fe  0.000  0.000  0.160
Fe  0.000  0.000  0.840
Fe  0.500  0.500  0.340
Fe  0.500  0.500  0.660
Si  0.000  0.000  0.500
Si  0.500  0.500  0.000



Number 3 is which compound?
Fe2Si